Nd3Dy2Er7: simulated X-ray diffraction stick pattern (λ = 1.5418 Å (Cu Kα)), based on a crystal structure in Alexandria, relaxed with PBE.
Peak positions follow from Bragg's law for the DFT cell and can differ from measured ones.

Most intense lines, 15° ≤ 2θ ≤ 90°, by angle:
| two_theta | I_rel | h k l |
| --- | --- | --- |
| 30.98 | 34 | 2 0 -1 |
| 31.27 | 100 | 1 1 2 |
| 31.85 | 47 | 1 0 -6 |
| 33.37 | 34 | 1 0 6 |
| 34.81 | 39 | 1 1 -4 |
| 54.50 | 30 | 3 0 -6 |

Unit cell a=5.802 b=3.557 c=18.736 alpha=90.00 beta=93.09 gamma=90.00
Space group P2/m (No. 10)
One atom of each set of equivalent atoms:
Nd1 0.000 0.000 0.000 [1 per cell]
Nd2 0.277 0.500 0.633 [2 per cell]
Dy1 0.211 0.000 0.292 [2 per cell]
Er1 0.191 0.500 0.143 [2 per cell]
Er2 0.243 0.000 0.462 [2 per cell]
Er3 0.306 0.000 0.825 [2 per cell]
Er4 0.500 0.500 0.000 [1 per cell]